# LiScNiSe3
Calculated X-ray powder pattern, Cu Kα, 1.54184 Å. Input: the GGA-PBE geometry in OQMD.
Intensities are scaled so that the largest is 100.

Cell and atoms:
Unit cell a=3.6921 b=13.0846 c=9.8103 alpha=90.00 beta=90.00 gamma=90.00
Space group Cmcm (No. 63)
Inequivalent atoms, fractional coordinates:
Li 0.0000 0.2231 0.2500 (multiplicity 4)
Sc 0.0000 0.0000 0.0000 (multiplicity 4)
Ni 0.0000 0.4849 0.7500 (multiplicity 4)
Se 0.0000 0.0967 0.7500 (multiplicity 4)
Se 0.0000 0.3610 0.5768 (multiplicity 8)

Largest 6 diffraction maxima, by angle, 2θ from 10° to 80°:
hkl, 2theta, d (Å), intensity
0 2 0, 13.53, 6.542, 76
1 1 1, 26.68, 3.341, 58
0 2 3, 30.56, 2.925, 89
1 3 1, 33.07, 2.708, 58
1 3 2, 36.78, 2.443, 100
1 5 2, 46.38, 1.958, 51